For NdGa2CoGe, DFT lattice parameters and positions (GGA-PBE) gives the theoretical X-ray diffraction stick pattern in this record (Cu Kα).
Peak positions follow from Bragg's law for the DFT cell and can differ from measured ones.

Principal peaks in the range 15° ≤ 2θ ≤ 90°, in order of rising 2θ:
Position (°2θ)  d (Å)  Rel. int.
31.0  2.881  20
32.9  2.719  41
33.2  2.696  43
35.3  2.545  100
44.0  2.057  29
44.9  2.017  27
47.3  1.922  22
56.3  1.635  19
56.8  1.620  17
64.7  1.440  18

Crystal structure
a b c (Å): 6.151 6.151 6.151
angles (deg): 141.71 140.92 55.87
Positions (direct):
Nd 0.000 0.000 0.000
Ga 0.377 0.377 0.000
Ga 0.751 0.251 0.500
Co 0.240 0.740 0.500
Ge 0.613 0.613 0.000

***

For In2As3, DFT lattice parameters and positions (GGA-PBE) gives the theoretical X-ray diffraction stick pattern in this record (Cu Kα).
Peak positions follow from Bragg's law for the DFT cell and can differ from measured ones.

Principal peaks in the range 15° ≤ 2θ ≤ 90°, in order of rising 2θ:
Position (°2θ)  d (Å)  Rel. int.
25.5  3.492  72
29.5  3.031  68
32.2  2.777  46
33.1  2.704  100
34.1  2.627  85
36.5  2.460  62
40.9  2.207  27
41.5  2.178  48
45.0  2.016  41
50.0  1.823  55

Crystal structure
a b c (Å): 7.588 6.716 9.255
angles (deg): 53.93 45.68 80.39
Positions (direct):
In 0.304 0.696 0.375
In 0.625 0.875 0.554
In 0.696 0.304 0.625
In 0.875 0.625 0.946
As 0.177 0.317 0.969
As 0.215 0.215 0.285
As 0.281 0.712 0.073
As 0.317 0.177 0.538
As 0.712 0.281 0.933
As 0.965 0.965 0.035

***

For Pa2Tl2CoS6, DFT lattice parameters and positions (GGA-PBE) gives the theoretical X-ray diffraction stick pattern in this record (Cu Kα).
Peak positions follow from Bragg's law for the DFT cell and can differ from measured ones.

Principal peaks in the range 15° ≤ 2θ ≤ 90°, in order of rising 2θ:
Position (°2θ)  d (Å)  Rel. int.
17.3  5.134  30
21.8  4.074  18
23.0  3.873  34
28.1  3.176  56
31.2  2.871  100
41.4  2.181  41
47.7  1.906  31
47.9  1.900  19
53.6  1.710  23
58.1  1.588  18

Crystal structure
a b c (Å): 6.603 6.603 8.055
angles (deg): 97.89 97.89 119.98
Positions (direct):
Pa 0.163 0.837 0.000
Pa 0.837 0.163 0.000
Tl 0.332 0.668 0.500
Tl 0.668 0.332 0.500
Co 0.500 0.500 0.000
S 0.113 0.439 0.810
S 0.254 0.254 0.191
S 0.439 0.113 0.810
S 0.561 0.887 0.190
S 0.746 0.746 0.809
S 0.887 0.561 0.190

***

For Sc5Hg, DFT lattice parameters and positions (GGA-PBE) gives the theoretical X-ray diffraction stick pattern in this record (Cu Kα).
Peak positions follow from Bragg's law for the DFT cell and can differ from measured ones.

Principal peaks in the range 15° ≤ 2θ ≤ 90°, in order of rising 2θ:
Position (°2θ)  d (Å)  Rel. int.
17.7  5.013  17
20.7  4.288  23
21.5  4.140  13
26.9  3.315  13
31.0  2.885  21
32.4  2.763  30
35.9  2.502  100
37.2  2.418  29
42.2  2.142  14
64.4  1.446  13

Crystal structure
a b c (Å): 5.013 8.452 8.452
angles (deg): 23.10 90.00 90.00
Positions (direct):
Sc 0.000 0.000 0.000
Sc 0.000 0.323 0.323
Sc 0.000 0.659 0.659
Sc 0.500 0.207 0.207
Sc 0.500 0.873 0.873
Hg 0.500 0.545 0.545